This entry pairs a crystal structure of ScCdHg2 with its theoretical powder X-ray diffraction pattern. Radiation: CuKα. Structure: DFT lattice parameters and positions (PBE).
Intensities are scaled so that the largest is 100.

Structural model:
a = 6.182 Å, b = 6.182 Å, c = 6.182 Å
α = 115.13°, β = 98.34°, γ = 115.49°
Sites, in units of the cell vectors:
Sc 0.251 0.001 0.250
Sc 0.749 0.999 0.750
Cd 0.250 0.500 0.750
Cd 0.750 0.500 0.250
Hg 0.250 0.000 0.750
Hg 0.250 0.500 0.250
Hg 0.750 0.000 0.250
Hg 0.750 0.500 0.750

Most intense lines, 15 to 90 degrees two-theta, sorted by position:
- 21.99°, I = 28.1
- 26.89°, I = 17.7
- 27.02°, I = 17.4
- 35.00°, I = 100.0
- 35.11°, I = 99.2
- 38.49°, I = 77.2
- 44.81°, I = 44.5
- 55.42°, I = 13.3
- 60.55°, I = 44.9
- 67.31°, I = 29.6
- 67.52°, I = 29.4
- 76.31°, I = 20.9